The following is a computed XRD peak list of Tm7ScIn4. It was derived from a structure optimized by DFT (GGA-PBE), using CuKα.
Kinematic intensities with the Lorentz-polarization factor, no thermal factor.

Unit cell a=7.852 b=7.852 c=9.592 alpha=119.20 beta=119.20 gamma=41.62
Element x y z (fractional)
Tm: 0.000 0.000 0.000
Tm: 0.253 0.253 0.714
Tm: 0.296 0.296 0.122
Tm: 0.426 0.426 0.583
Tm: 0.574 0.574 0.417
Tm: 0.704 0.704 0.878
Tm: 0.747 0.747 0.286
Sc: 0.500 0.500 0.000
In: 0.049 0.049 0.705
In: 0.178 0.178 0.344
In: 0.822 0.822 0.656
In: 0.951 0.951 0.295

Peak list (8 most intense, 5 to 70 degrees two-theta, in order of rising 2θ)
2θ 30.21, intensity 414; 2θ 30.80, intensity 375; 2θ 32.09, intensity 1000; 2θ 32.57, intensity 426; 2θ 32.89, intensity 395; 2θ 33.82, intensity 485; 2θ 34.68, intensity 405; 2θ 35.40, intensity 756

---

The following is a computed XRD peak list of In4SeBr3. It was derived from a structure optimized by DFT (GGA-PBE), using CuKα.
Kinematic intensities with the Lorentz-polarization factor, no thermal factor.

Unit cell a=6.056 b=13.120 c=6.792 alpha=90.00 beta=90.00 gamma=90.00
Element x y z (fractional)
In: 0.250 0.020 0.195
In: 0.250 0.250 0.725
In: 0.250 0.480 0.195
In: 0.250 0.750 0.686
In: 0.750 0.250 0.314
In: 0.750 0.520 0.805
In: 0.750 0.750 0.275
In: 0.750 0.980 0.805
Se: 0.250 0.250 0.287
Se: 0.750 0.750 0.713
Br: 0.250 0.513 0.664
Br: 0.250 0.750 0.248
Br: 0.250 0.987 0.664
Br: 0.750 0.013 0.336
Br: 0.750 0.250 0.752
Br: 0.750 0.487 0.336

Peak list (8 most intense, 5 to 70 degrees two-theta, in order of rising 2θ)
2θ 26.24, intensity 680; 2θ 27.19, intensity 1000; 2θ 29.50, intensity 876; 2θ 30.18, intensity 405; 2θ 38.14, intensity 455; 2θ 39.89, intensity 439; 2θ 40.55, intensity 660; 2θ 48.94, intensity 461

---

The following is a computed XRD peak list of La4Pm5Dy4. It was derived from a structure optimized by DFT (GGA-PBE), using CuKα.
Kinematic intensities with the Lorentz-polarization factor, no thermal factor.

Unit cell a=9.652 b=9.652 c=9.652 alpha=94.12 beta=94.12 gamma=148.92
Element x y z (fractional)
La: 0.078 0.383 0.460
La: 0.383 0.922 0.305
La: 0.617 0.078 0.695
La: 0.922 0.617 0.540
Pm: 0.000 0.000 0.000
Pm: 0.310 0.541 0.852
Pm: 0.459 0.310 0.769
Pm: 0.541 0.690 0.231
Pm: 0.690 0.459 0.148
Dy: 0.153 0.770 0.923
Dy: 0.230 0.153 0.384
Dy: 0.770 0.847 0.616
Dy: 0.847 0.230 0.077

Peak list (6 most intense, 5 to 70 degrees two-theta, in order of rising 2θ)
2θ 29.98, intensity 1000; 2θ 34.75, intensity 507; 2θ 49.96, intensity 363; 2θ 59.28, intensity 145; 2θ 59.41, intensity 286; 2θ 62.29, intensity 124

---

What did the third record say?
The following is a computed XRD peak list of La4Pm5Dy4. It was derived from a structure optimized by DFT (GGA-PBE), using CuKα.
Kinematic intensities with the Lorentz-polarization factor, no thermal factor.

Unit cell a=9.652 b=9.652 c=9.652 alpha=94.12 beta=94.12 gamma=148.92
Element x y z (fractional)
La: 0.078 0.383 0.460
La: 0.383 0.922 0.305
La: 0.617 0.078 0.695
La: 0.922 0.617 0.540
Pm: 0.000 0.000 0.000
Pm: 0.310 0.541 0.852
Pm: 0.459 0.310 0.769
Pm: 0.541 0.690 0.231
Pm: 0.690 0.459 0.148
Dy: 0.153 0.770 0.923
Dy: 0.230 0.153 0.384
Dy: 0.770 0.847 0.616
Dy: 0.847 0.230 0.077

Peak list (6 most intense, 5 to 70 degrees two-theta, in order of rising 2θ)
2θ 29.98, intensity 1000; 2θ 34.75, intensity 507; 2θ 49.96, intensity 363; 2θ 59.28, intensity 145; 2θ 59.41, intensity 286; 2θ 62.29, intensity 124

---

Which formula does entry 2 have? In4SeBr3